Calculated powder diffractogram of V5SnP6O24 for Cu Kα, from the PBE+U geometry in Alexandria.
Kinematic intensities with the Lorentz-polarization factor, no thermal factor.

The 8 most intense peaks (2θ from 15° to 90°), sorted by position:
d = 4.339 Å, 20.47 deg, rel. 87
d = 4.317 Å, 20.58 deg, rel. 22
d = 3.693 Å, 24.10 deg, rel. 100
d = 2.731 Å, 32.79 deg, rel. 68
d = 2.504 Å, 35.86 deg, rel. 49
d = 1.932 Å, 47.02 deg, rel. 30
d = 1.847 Å, 49.35 deg, rel. 30
d = 1.640 Å, 56.09 deg, rel. 29

Cell and atoms:
a = 8.6333 Å, b = 8.6333 Å, c = 8.6333 Å
α = 60.34°, β = 60.34°, γ = 60.34°
Fractional positions:
V (0.0000, 0.0000, 0.0000)
V (0.1411, 0.1411, 0.1411)
V (0.5005, 0.5005, 0.5005)
V (0.6438, 0.6438, 0.6438)
V (0.7872, 0.7872, 0.7872)
Sn (0.2879, 0.2879, 0.2879)
P (0.0960, 0.3953, 0.6908)
P (0.1881, 0.8906, 0.6024)
P (0.3953, 0.6908, 0.0960)
P (0.6024, 0.1881, 0.8906)
P (0.6908, 0.0960, 0.3953)
P (0.8906, 0.6024, 0.1881)
O (0.0347, 0.8242, 0.6427)
O (0.0529, 0.4019, 0.2000)
O (0.0822, 0.2347, 0.8867)
O (0.1270, 0.3281, 0.5391)
O (0.1486, 0.9589, 0.7542)
O (0.2000, 0.0529, 0.4019)
O (0.2347, 0.8867, 0.0822)
O (0.2541, 0.4597, 0.6409)
O (0.3281, 0.5391, 0.1270)
O (0.3887, 0.7364, 0.5791)
O (0.4019, 0.2000, 0.0529)
O (0.4597, 0.6409, 0.2541)
O (0.5391, 0.1270, 0.3281)
O (0.5523, 0.7084, 0.8978)
O (0.5791, 0.3887, 0.7364)
O (0.6409, 0.2541, 0.4597)
O (0.6427, 0.0347, 0.8242)
O (0.7084, 0.8978, 0.5523)
O (0.7364, 0.5791, 0.3887)
O (0.7542, 0.1486, 0.9589)
O (0.8242, 0.6427, 0.0347)
O (0.8867, 0.0822, 0.2347)
O (0.8978, 0.5523, 0.7084)
O (0.9589, 0.7542, 0.1486)